Structure and simulated powder diffractogram of La8Pm6Ho (DFT lattice parameters and positions (PBE); Cu Kα (weighted mean of Kα1 and Kα2)).
Neutral-atom scattering factors, no anomalous dispersion.

The 10 most intense peaks (10° ≤ 2θ ≤ 90°), by intensity:
| 2θ/deg | intensity |
| --- | --- |
| 30.5 | 100 |
| 31.4 | 30 |
| 29.5 | 28 |
| 53.5 | 14 |
| 31.7 | 13 |
| 35.6 | 13 |
| 33.8 | 12 |
| 51.4 | 10 |
| 58.3 | 8 |
| 52.2 | 8 |

Structural model:
```
La8Pm6Ho
1.0
4.6682 2.6952 7.0917
-4.6682 2.6952 7.0917
0.0000 -5.3904 7.0917
La Pm Ho
8 6 1
Direct
0.0779 0.0779 0.0779
0.2120 0.2528 0.6144
0.2528 0.6144 0.2120
0.3856 0.7880 0.7472
0.6144 0.2120 0.2528
0.7472 0.3856 0.7880
0.7880 0.7472 0.3856
0.9221 0.9221 0.9221
0.0405 0.7473 0.5950
0.2527 0.4050 0.9595
0.4050 0.9595 0.2527
0.5950 0.0405 0.7473
0.7473 0.5950 0.0405
0.9595 0.2527 0.4050
0.5000 0.5000 0.5000
```

=====

Structure and simulated powder diffractogram of CaHg4H2 (DFT lattice parameters and positions (PBE); Cu Kα (weighted mean of Kα1 and Kα2)).
Neutral-atom scattering factors, no anomalous dispersion.

The 10 most intense peaks (10° ≤ 2θ ≤ 90°), by intensity:
| 2θ/deg | intensity |
| --- | --- |
| 18.7 | 100 |
| 35.2 | 41 |
| 30.1 | 41 |
| 30.3 | 40 |
| 35.3 | 29 |
| 36.2 | 22 |
| 36.3 | 22 |
| 39.1 | 22 |
| 36.7 | 16 |
| 47.0 | 16 |

Structural model:
```
CaHg4H2
1.0
3.8665 0.0000 0.0000
-1.9168 5.1763 0.0000
-1.8918 -1.4669 8.4412
Ca Hg H
1 4 2
Direct
0.0000 0.0000 0.0000
0.1703 0.9697 0.3687
0.3810 0.6103 0.1510
0.6190 0.3897 0.8490
0.8297 0.0303 0.6313
0.2612 0.2906 0.2366
0.7388 0.7094 0.7634
```